(1)
Starting from a PBE-relaxed structure, the powder diffractogram of K3AsS3 was simulated for Cu Kα (λ = 1.5418 Å).

```
data_K3AsS3
_chemical_formula_sum 'K12 As4 S12'
_space_group_name_H-M_alt 'P 21 3'
_space_group_IT_number 198
_space_group_name_Hall 'P 2ac 2ab 3'
_cell_length_a 9.5258
_cell_length_b 9.5258
_cell_length_c 9.5258
_cell_angle_alpha 90.00
_cell_angle_beta 90.00
_cell_angle_gamma 90.00
loop_
_atom_site_label
_atom_site_type_symbol
_atom_site_fract_x
_atom_site_fract_y
_atom_site_fract_z
_atom_site_occupancy
K1 K 0.0595 0.4405 0.5595 1
K2 K 0.0675 0.5675 0.9325 1
K3 K 0.1732 0.1732 0.1732 1
As1 As 0.2279 0.7721 0.2721 1
S1 S 0.0439 0.2475 0.8453 1
```

The 8 most intense peaks (5° ≤ 2θ ≤ 70°), low angle first:
hkl 1 1 1, 16.12°, I 49; hkl 2 0 0, 18.63°, I 18; hkl 2 2 0, 26.47°, I 45; hkl 3 0 1, 29.66°, I 100; hkl 3 2 1, 35.25°, I 49; hkl 4 2 2, 46.72°, I 18; hkl 5 0 1, 48.74°, I 25; hkl 5 1 1, 49.74°, I 21



(2)
Starting from a PBE-relaxed structure, the powder diffractogram of KSnAsS5 was simulated for Cu Kα (λ = 1.5418 Å).

```
data_KSnAsS5
_chemical_formula_sum 'K4 Sn4 As4 S20'
_space_group_name_H-M_alt 'P b a m'
_space_group_IT_number 55
_space_group_name_Hall '-P 2 2ab'
_cell_length_a 8.3385
_cell_length_b 14.1530
_cell_length_c 7.5966
_cell_angle_alpha 90.00
_cell_angle_beta 90.00
_cell_angle_gamma 90.00
loop_
_atom_site_label
_atom_site_type_symbol
_atom_site_fract_x
_atom_site_fract_y
_atom_site_fract_z
_atom_site_occupancy
K1 K 0.1058 0.1605 0.0000 1
Sn1 Sn 0.0000 0.5000 0.2321 1
As1 As 0.1967 0.7221 0.5000 1
S1 S 0.0480 0.6819 0.2652 1
S2 S 0.1353 0.0896 0.5000 1
S3 S 0.2081 0.4631 0.0000 1
S4 S 0.2138 0.4772 0.5000 1
```

The 8 most intense peaks (5° ≤ 2θ ≤ 70°), low angle first:
hkl 1 1 0, 12.32°, I 100; hkl 0 4 0, 25.17°, I 27; hkl 1 1 2, 26.56°, I 57; hkl 2 0 2, 31.87°, I 49; hkl 1 5 0, 33.43°, I 24; hkl 3 1 2, 40.73°, I 15; hkl 2 4 2, 41.04°, I 25; hkl 3 5 2, 52.02°, I 18



(3)
Starting from a PBE-relaxed structure, the powder diffractogram of K3Ta2AsS11 was simulated for Cu Kα (λ = 1.5418 Å).

```
data_K3Ta2AsS11
_chemical_formula_sum 'K12 Ta8 As4 S44'
_space_group_name_H-M_alt 'C 1 c 1'
_space_group_IT_number 9
_space_group_name_Hall 'C -2yc'
_cell_length_a 14.6306
_cell_length_b 12.8434
_cell_length_c 9.6630
_cell_angle_alpha 90.00
_cell_angle_beta 99.54
_cell_angle_gamma 90.00
loop_
_atom_site_label
_atom_site_type_symbol
_atom_site_fract_x
_atom_site_fract_y
_atom_site_fract_z
_atom_site_occupancy
K1 K 0.0000 0.0669 0.0000 1
K2 K 0.1234 0.4168 0.7560 1
K3 K 0.2468 0.0751 0.6653 1
Ta1 Ta 0.2016 0.2293 0.2780 1
Ta2 Ta 0.3890 0.2895 0.0938 1
As1 As 0.4662 0.1507 0.8312 1
S1 S 0.0356 0.1692 0.6819 1
S2 S 0.1001 0.3028 0.0724 1
S3 S 0.1204 0.3469 0.4255 1
S4 S 0.1338 0.0811 0.3308 1
S5 S 0.2054 0.2053 0.0248 1
S6 S 0.3045 0.4540 0.0370 1
S7 S 0.3095 0.4037 0.2418 1
S8 S 0.3334 0.2476 0.4749 1
S9 S 0.3665 0.1649 0.3040 1
S10 S 0.4007 0.3093 0.8410 1
S11 S 0.4057 0.0994 0.0261 1
```

The 8 most intense peaks (5° ≤ 2θ ≤ 70°), low angle first:
hkl 2 0 0, 12.32°, I 13; hkl 1 1 1, 13.80°, I 100; hkl 2 2 -1, 19.78°, I 10; hkl 2 0 2, 24.02°, I 14; hkl 4 2 0, 28.42°, I 14; hkl 2 4 -1, 31.27°, I 12; hkl 4 2 -2, 31.72°, I 10; hkl 3 1 -3, 31.84°, I 11



(4)
Starting from a PBE-relaxed structure, the powder diffractogram of K3AsSe4 was simulated for Cu Kα (λ = 1.5418 Å).

```
data_K3AsSe4
_chemical_formula_sum 'K12 As4 Se16'
_space_group_name_H-M_alt 'P n m a'
_space_group_IT_number 62
_space_group_name_Hall '-P 2ac 2n'
_cell_length_a 9.5947
_cell_length_b 11.1998
_cell_length_c 10.0179
_cell_angle_alpha 90.00
_cell_angle_beta 90.00
_cell_angle_gamma 90.00
loop_
_atom_site_label
_atom_site_type_symbol
_atom_site_fract_x
_atom_site_fract_y
_atom_site_fract_z
_atom_site_occupancy
K1 K 0.0640 0.0459 0.1960 1
K2 K 0.1390 0.7500 0.4154 1
As1 As 0.2212 0.7500 0.9770 1
Se1 Se 0.0058 0.7500 0.0938 1
Se2 Se 0.1528 0.0755 0.5320 1
Se3 Se 0.1786 0.7500 0.7450 1
```

The 8 most intense peaks (5° ≤ 2θ ≤ 70°), low angle first:
hkl 1 1 1, 15.03°, I 91; hkl 1 2 1, 20.39°, I 32; hkl 0 1 3, 27.88°, I 47; hkl 3 0 1, 29.31°, I 42; hkl 1 1 3, 29.42°, I 30; hkl 2 3 0, 30.34°, I 100; hkl 2 3 1, 31.65°, I 32; hkl 2 2 3, 36.50°, I 28



(5)
Starting from a PBE-relaxed structure, the powder diffractogram of K3Ta2AsSe11 was simulated for Cu Kα (λ = 1.5418 Å).

```
data_K3Ta2AsSe11
_chemical_formula_sum 'K12 Ta8 As4 Se44'
_space_group_name_H-M_alt 'C 1 c 1'
_space_group_IT_number 9
_space_group_name_Hall 'C -2yc'
_cell_length_a 15.2261
_cell_length_b 13.2912
_cell_length_c 10.1002
_cell_angle_alpha 90.00
_cell_angle_beta 99.86
_cell_angle_gamma 90.00
loop_
_atom_site_label
_atom_site_type_symbol
_atom_site_fract_x
_atom_site_fract_y
_atom_site_fract_z
_atom_site_occupancy
K1 K 0.0000 0.0673 0.0000 1
K2 K 0.1186 0.4187 0.7517 1
K3 K 0.2444 0.0767 0.6641 1
Ta1 Ta 0.2006 0.2269 0.2712 1
Ta2 Ta 0.3849 0.2918 0.0866 1
As1 As 0.4647 0.1513 0.8191 1
Se1 Se 0.0359 0.1713 0.6720 1
Se2 Se 0.0919 0.3084 0.0738 1
Se3 Se 0.1207 0.3476 0.4242 1
Se4 Se 0.1299 0.0780 0.3283 1
Se5 Se 0.2074 0.2014 0.0140 1
Se6 Se 0.3009 0.4604 0.0240 1
Se7 Se 0.3083 0.4020 0.2493 1
Se8 Se 0.3312 0.2488 0.4795 1
Se9 Se 0.3684 0.1578 0.2901 1
Se10 Se 0.3945 0.3132 0.8296 1
Se11 Se 0.3971 0.0958 0.0133 1
```

The 8 most intense peaks (5° ≤ 2θ ≤ 70°), low angle first:
hkl 2 0 0, 11.82°, I 19; hkl 1 1 1, 13.29°, I 100; hkl 3 3 -1, 27.37°, I 15; hkl 4 2 1, 30.08°, I 16; hkl 2 4 -1, 30.16°, I 19; hkl 0 0 4, 36.07°, I 14; hkl 3 5 0, 38.35°, I 11; hkl 4 4 -2, 38.59°, I 11